FeSCl7: theoretical X-ray powder pattern (copper Kα), based on a structure optimized by DFT (GGA-PBE).
Kinematic intensities with the Lorentz-polarization factor, no thermal factor.

Cell and atoms:
Cell lengths 7.1258, 12.5994, 12.1716 Å; angles 90.00, 107.63, 90.00 degrees
Space group P2_1/c (No. 14)
One atom of each set of equivalent atoms:
1 Fe 0.1355 0.0244 0.1599 x4
2 S 0.4580 0.7462 0.0448 x4
3 Cl 0.0141 0.0113 0.7061 x4
4 Cl 0.1046 0.0989 0.9717 x4
5 Cl 0.2471 0.1886 0.2346 x4
6 Cl 0.2537 0.6596 0.0888 x4
7 Cl 0.2937 0.6726 0.4034 x4
8 Cl 0.4082 0.5706 0.6913 x4
9 Cl 0.4158 0.1373 0.5304 x4

The 10 most intense peaks (10° ≤ 2θ ≤ 90°), by angle:
- 10.37 deg, I = 45
- 14.75 deg, I = 100
- 19.22 deg, I = 95
- 20.82 deg, I = 47
- 22.98 deg, I = 41
- 28.79 deg, I = 85
- 30.46 deg, I = 30
- 30.70 deg, I = 32
- 31.28 deg, I = 22
- 36.85 deg, I = 45